Record 1
Diffraction record for Ni2Rh7. The PXRD pattern is theoretical, not measured: it uses a PBE-relaxed structure and Cu Kα.
Peak positions follow from Bragg's law for the DFT cell and can differ from measured ones.

Crystal structure
Lattice parameters (Å, degrees): 4.6571 4.6571 6.5348 90.00 90.00 120.00
Space group P-31m (No. 162)
Inequivalent atoms, fractional coordinates:
Ni 0.3333 0.6667 0.0000 [2 per cell]
Rh 0.0000 0.0000 0.0000 [1 per cell]
Rh 0.0000 0.3344 0.6713 [6 per cell]

Main lines, most intense first (2θ = 10–80°):
2θ = 41.15°, d 2.193, rel. 100.0; 2θ = 47.98°, d 1.896, rel. 62.9; 2θ = 41.45°, d 2.178, rel. 32.1; 2θ = 70.40°, d 1.337, rel. 19.6; 2θ = 69.98°, d 1.344, rel. 19.6; 2θ = 13.55°, d 6.535, rel. 2.9; 2θ = 27.29°, d 3.267, rel. 1.7; 2θ = 25.96°, d 3.432, rel. 1.6; 2θ = 38.67°, d 2.329, rel. 1.0; 2θ = 22.04°, d 4.033, rel. 1.0

---

Record 2
Diffraction record for Li5SmMg7. The PXRD pattern is theoretical, not measured: it uses a PBE-relaxed structure and Cu Kα.
Peak positions follow from Bragg's law for the DFT cell and can differ from measured ones.

Crystal structure
Lattice parameters (Å, degrees): 5.4265 10.2399 10.3153 90.00 90.00 90.00
Space group Imm2 (No. 44)
Inequivalent atoms, fractional coordinates:
Li 0.0000 0.0000 0.0000 [2 per cell]
Li 0.2492 0.2479 0.9667 [8 per cell]
Sm 0.0000 0.5000 0.7190 [2 per cell]
Mg 0.0000 0.0000 0.4307 [2 per cell]
Mg 0.0000 0.1488 0.7158 [4 per cell]
Mg 0.0000 0.2076 0.2153 [4 per cell]
Mg 0.0000 0.5000 0.0694 [2 per cell]
Mg 0.0000 0.5000 0.3674 [2 per cell]

Main lines, most intense first (2θ = 10–80°):
2θ = 35.58°, d 2.523, rel. 100.0; 2θ = 25.40°, d 3.506, rel. 66.7; 2θ = 12.18°, d 7.267, rel. 62.0; 2θ = 18.49°, d 4.798, rel. 58.8; 2θ = 17.19°, d 5.158, rel. 44.4; 2θ = 30.95°, d 2.889, rel. 38.9; 2θ = 37.48°, d 2.400, rel. 31.8; 2θ = 30.78°, d 2.904, rel. 28.8; 2θ = 17.32°, d 5.120, rel. 27.7; 2θ = 33.01°, d 2.713, rel. 24.8

---

Record 3
Diffraction record for MgTi4O9. The PXRD pattern is theoretical, not measured: it uses a PBE-relaxed structure and Cu Kα.
Peak positions follow from Bragg's law for the DFT cell and can differ from measured ones.

Crystal structure
Lattice parameters (Å, degrees): 8.4420 8.4420 4.8985 90.00 90.00 90.00
Space group P4/n (No. 85, origin choice 2)
Inequivalent atoms, fractional coordinates:
Mg 0.2500 0.2500 0.1187 [2 per cell]
Ti 0.0319 0.8399 0.3669 [8 per cell]
O 0.0206 0.1849 0.9635 [8 per cell]
O 0.0443 0.3558 0.4690 [8 per cell]
O 0.2500 0.7500 0.5000 [2 per cell]

Main lines, most intense first (2θ = 10–80°):
2θ = 29.89°, d 2.990, rel. 100.0; 2θ = 18.11°, d 4.899, rel. 46.0; 2θ = 33.57°, d 2.670, rel. 42.2; 2θ = 48.20°, d 1.888, rel. 34.9; 2θ = 44.07°, d 2.055, rel. 23.3; 2θ = 51.91°, d 1.761, rel. 18.4; 2θ = 57.76°, d 1.596, rel. 17.9; 2θ = 23.49°, d 3.787, rel. 15.5; 2θ = 67.21°, d 1.393, rel. 14.5; 2θ = 67.38°, d 1.390, rel. 14.0

---

Record 4
Diffraction record for Ta2Pd4Au. The PXRD pattern is theoretical, not measured: it uses a PBE-relaxed structure and Cu Kα.
Peak positions follow from Bragg's law for the DFT cell and can differ from measured ones.

Crystal structure
Lattice parameters (Å, degrees): 5.1601 6.9689 7.0141 88.18 82.30 68.62
Space group P1 (No. 1)
Inequivalent atoms, fractional coordinates:
Ta 0.0000 0.0000 0.0000 [1 per cell]
Ta 0.0120 0.1373 0.5534 [1 per cell]
Ta 0.5332 0.9960 0.7294 [1 per cell]
Ta 0.7927 0.5804 0.5883 [1 per cell]
Pd 0.1008 0.3429 0.8568 [1 per cell]
Pd 0.1807 0.7147 0.7435 [1 per cell]
Pd 0.3819 0.3513 0.4927 [1 per cell]
Pd 0.3827 0.7904 0.3847 [1 per cell]
Pd 0.3932 0.1191 0.1493 [1 per cell]
Pd 0.6051 0.3383 0.8537 [1 per cell]
Pd 0.6524 0.7233 0.9870 [1 per cell]
Pd 0.8157 0.9213 0.3603 [1 per cell]
Au 0.1850 0.5814 0.1503 [1 per cell]
Au 0.8009 0.3668 0.2289 [1 per cell]

Main lines, most intense first (2θ = 10–80°):
2θ = 41.64°, d 2.169, rel. 100.0; 2θ = 40.97°, d 2.203, rel. 80.4; 2θ = 38.99°, d 2.310, rel. 74.8; 2θ = 40.05°, d 2.251, rel. 73.7; 2θ = 40.59°, d 2.222, rel. 66.5; 2θ = 38.30°, d 2.350, rel. 59.6; 2θ = 39.45°, d 2.284, rel. 55.7; 2θ = 35.10°, d 2.557, rel. 44.3; 2θ = 41.74°, d 2.164, rel. 41.1; 2θ = 41.13°, d 2.195, rel. 35.5

---

Record 5
Diffraction record for La2PmPd3. The PXRD pattern is theoretical, not measured: it uses a PBE-relaxed structure and Cu Kα.
Peak positions follow from Bragg's law for the DFT cell and can differ from measured ones.

Crystal structure
Lattice parameters (Å, degrees): 13.4586 5.9959 8.4643 90.00 108.46 90.00
Space group C2/c (No. 15)
Inequivalent atoms, fractional coordinates:
La 0.1665 0.0016 0.0833 [8 per cell]
Pm 0.0000 0.4984 0.2500 [4 per cell]
Pd 0.0000 0.0017 0.7500 [4 per cell]
Pd 0.1643 0.4983 0.5822 [8 per cell]

Main lines, most intense first (2θ = 10–80°):
2θ = 29.78°, d 3.000, rel. 100.0; 2θ = 42.63°, d 2.121, rel. 49.8; 2θ = 70.20°, d 1.341, rel. 16.7; 2θ = 52.76°, d 1.735, rel. 13.2; 2θ = 52.97°, d 1.729, rel. 13.1; 2θ = 42.49°, d 2.128, rel. 12.5; 2θ = 42.73°, d 2.116, rel. 12.4; 2θ = 70.04°, d 1.343, rel. 8.4; 2θ = 77.93°, d 1.226, rel. 8.3; 2θ = 78.13°, d 1.223, rel. 8.2

---

Record 6
Diffraction record for Na2Fe3Cl9. The PXRD pattern is theoretical, not measured: it uses a PBE-relaxed structure and Cu Kα.
Peak positions follow from Bragg's law for the DFT cell and can differ from measured ones.

Crystal structure
Lattice parameters (Å, degrees): 10.4650 15.8310 9.7379 90.00 117.38 90.00
Space group C2/m (No. 12)
Inequivalent atoms, fractional coordinates:
Na 0.0604 0.1799 0.3015 [8 per cell]
Fe 0.1758 0.3782 0.2005 [8 per cell]
Fe 0.1823 0.5000 0.8415 [4 per cell]
Cl 0.0000 0.2833 0.0000 [4 per cell]
Cl 0.0054 0.3980 0.2893 [8 per cell]
Cl 0.1773 0.0000 0.2721 [4 per cell]
Cl 0.1831 0.2254 0.6342 [8 per cell]
Cl 0.1939 0.0000 0.6565 [4 per cell]
Cl 0.2100 0.1060 0.9584 [8 per cell]

Main lines, most intense first (2θ = 10–80°):
2θ = 39.03°, d 2.308, rel. 100.0; 2θ = 19.74°, d 4.498, rel. 92.9; 2θ = 34.31°, d 2.613, rel. 83.3; 2θ = 31.69°, d 2.823, rel. 71.3; 2θ = 33.06°, d 2.710, rel. 66.7; 2θ = 20.54°, d 4.323, rel. 61.5; 2θ = 11.04°, d 8.014, rel. 60.6; 2θ = 19.09°, d 4.649, rel. 58.2; 2θ = 11.71°, d 7.560, rel. 54.8; 2θ = 10.23°, d 8.647, rel. 43.1